Diffraction record for KSbF6. The powder diffractogram is simulated, not measured: it uses a PBE-relaxed structure and CuKα.

Crystal structure
Lattice parameters (Å, degrees): 9.0015 9.0015 9.0015 109.47 109.47 109.47
Fractional coordinates of all 32 atoms:
1 K 0.0000 0.0000 0.5000
2 K 0.0000 0.5000 0.0000
3 K 0.5000 0.0000 0.0000
4 K 0.5000 0.5000 0.5000
5 Sb 0.0000 0.0000 0.0000
6 Sb 0.0000 0.5000 0.5000
7 Sb 0.5000 0.0000 0.5000
8 Sb 0.5000 0.5000 0.0000
9 F 0.0245 0.5759 0.3297
10 F 0.0514 0.2462 0.0759
11 F 0.0759 0.0514 0.2462
12 F 0.1703 0.7462 0.6948
13 F 0.1948 0.4486 0.5245
14 F 0.2462 0.0759 0.0514
15 F 0.2538 0.3052 0.8297
16 F 0.3052 0.8297 0.2538
17 F 0.3297 0.0245 0.5759
18 F 0.4241 0.6703 0.9755
19 F 0.4486 0.5245 0.1948
20 F 0.4755 0.8052 0.5514
21 F 0.5245 0.1948 0.4486
22 F 0.5514 0.4755 0.8052
23 F 0.5759 0.3297 0.0245
24 F 0.6703 0.9755 0.4241
25 F 0.6948 0.1703 0.7462
26 F 0.7462 0.6948 0.1703
27 F 0.7538 0.9241 0.9486
28 F 0.8052 0.5514 0.4755
29 F 0.8297 0.2538 0.3052
30 F 0.9241 0.9486 0.7538
31 F 0.9486 0.7538 0.9241
32 F 0.9755 0.4241 0.6703

Peak list (10 most intense, 2θ = 5–70°, by intensity)
2θ = 24.22°, I 100; 2θ = 17.06°, I 53; 2θ = 42.61°, I 42; 2θ = 67.43°, I 21; 2θ = 55.95°, I 18; 2θ = 49.61°, I 18; 2θ = 52.85°, I 10; 2θ = 29.78°, I 9; 2θ = 38.74°, I 6; 2θ = 34.52°, I 6